Diffraction record for LiY. The powder XRD pattern is simulated, not measured: it uses a cell relaxed with PBE and Cu Kα (λ = 1.5418 Å).
Kinematic intensities with the Lorentz-polarization factor, no thermal factor.

Atomic structure:
Cell: 3.478 3.478 31.915 Å, 90.00 90.00 120.00°
Atoms (fractional coordinates):
Li1 0.000 0.000 0.130
Li2 0.000 0.000 0.870
Li3 0.333 0.667 0.536
Li4 0.333 0.667 0.797
Li5 0.667 0.333 0.203
Li6 0.667 0.333 0.464
Y1 0.000 0.000 0.378
Y2 0.000 0.000 0.622
Y3 0.333 0.667 0.045
Y4 0.333 0.667 0.289
Y5 0.667 0.333 0.711
Y6 0.667 0.333 0.955

The 10 most intense peaks (2θ = 10–90°), in order of falling intensity:
h k l, Position (°2θ), I/Imax
1 0 4, 31.8, 100
0 1 8, 37.4, 62
1 0 1, 29.8, 50
0 1 5, 32.9, 44
0 0 9, 25.1, 35
0 0 12, 33.7, 27
1 1 12, 64.0, 24
1 1 0, 52.6, 23
2 0 8, 66.3, 21
1 0 7, 35.7, 21